[1]
# EuNiI2
Theoretical powder XRD pattern, CuKα. Input: the PBE geometry in Alexandria.
Peak positions follow from Bragg's law for the DFT cell and can differ from measured ones.

Cell and atoms:
Unit cell a=4.0837 b=4.0837 c=27.9815 alpha=90.00 beta=90.00 gamma=120.00
Space group R-3m (No. 166, hexagonal axes)
Unique sites:
Eu: 0.0000 0.0000 0.0000 [3 per cell]
Ni: 0.0000 0.0000 0.5000 [3 per cell]
I: 0.0000 0.0000 0.1138 [6 per cell]

Most intense lines, 15 to 90 degrees two-theta, in order of rising 2θ:
- 25.4°, intensity 100.0, hkl 1 0 1
- 26.0°, intensity 79.5, hkl 0 1 2
- 28.7°, intensity 35.9, hkl 0 0 9
- 29.9°, intensity 17.3, hkl 0 1 5
- 33.8°, intensity 15.8, hkl 1 0 7
- 36.1°, intensity 96.5, hkl 0 1 8
- 41.1°, intensity 52.4, hkl 1 0 10
- 44.4°, intensity 63.8, hkl 1 1 0
- 53.7°, intensity 37.4, hkl 1 1 9
- 58.5°, intensity 23.3, hkl 2 0 8
- 76.3°, intensity 21.3, hkl 1 2 8
- 77.1°, intensity 23.4, hkl 1 1 18

[2]
# YP3Se
Theoretical powder XRD pattern, CuKα. Input: the PBE geometry in Alexandria.
Peak positions follow from Bragg's law for the DFT cell and can differ from measured ones.

Cell and atoms:
Unit cell a=4.7550 b=4.7550 c=4.7550 alpha=90.00 beta=90.00 gamma=90.00
Space group Pm-3m (No. 221)
Unique sites:
Y: 0.0000 0.0000 0.0000 [1 per cell]
P: 0.0000 0.5000 0.5000 [3 per cell]
Se: 0.5000 0.5000 0.5000 [1 per cell]

Most intense lines, 15 to 90 degrees two-theta, in order of rising 2θ:
- 26.5°, intensity 100.0, hkl 1 1 0
- 32.6°, intensity 21.5, hkl 1 1 1
- 37.8°, intensity 67.8, hkl 2 0 0
- 46.8°, intensity 42.2, hkl 2 1 1
- 54.6°, intensity 44.8, hkl 2 2 0
- 61.7°, intensity 18.2, hkl 3 1 0
- 65.1°, intensity 7.6, hkl 3 1 1
- 68.3°, intensity 15.0, hkl 2 2 2
- 74.7°, intensity 20.4, hkl 3 2 1
- 80.9°, intensity 7.1, hkl 4 0 0
- 86.9°, intensity 10.4, hkl 4 1 1
- 89.9°, intensity 3.3, hkl 3 3 1

[3]
# La2ZnNi10
Theoretical powder XRD pattern, CuKα. Input: the PBE geometry in Alexandria.
Peak positions follow from Bragg's law for the DFT cell and can differ from measured ones.

Cell and atoms:
Unit cell a=5.1097 b=11.1979 c=7.5954 alpha=90.00 beta=118.41 gamma=90.00
Space group P2_1/c (No. 14)
Unique sites:
La: 0.0400 0.1058 0.3224 [4 per cell]
Zn: 0.5000 0.0000 0.0000 [2 per cell]
Ni: 0.1731 0.6629 0.6187 [4 per cell]
Ni: 0.2365 0.1630 0.7859 [4 per cell]
Ni: 0.3206 0.6750 0.9752 [4 per cell]
Ni: 0.4164 0.1880 0.1448 [4 per cell]
Ni: 0.4882 0.0128 0.6692 [4 per cell]

Most intense lines, 15 to 90 degrees two-theta, in order of rising 2θ:
- 36.1°, intensity 25.4, hkl 0 3 2
- 36.8°, intensity 43.9, hkl 1 4 -1
- 37.9°, intensity 55.1, hkl 1 4 0
- 39.2°, intensity 100.0, hkl 2 2 -1
- 41.4°, intensity 75.0, hkl 1 1 2
- 42.1°, intensity 46.5, hkl 2 1 -3
- 43.2°, intensity 80.7, hkl 1 3 -3
- 43.4°, intensity 22.1, hkl 2 2 0
- 47.6°, intensity 35.7, hkl 0 3 3
- 53.1°, intensity 17.5, hkl 1 6 0
- 58.5°, intensity 14.8, hkl 0 5 3
- 79.9°, intensity 14.9, hkl 2 7 -4

[4]
# Rb2NiGeCl6
Theoretical powder XRD pattern, CuKα. Input: the PBE geometry in Alexandria.
Peak positions follow from Bragg's law for the DFT cell and can differ from measured ones.

Cell and atoms:
Unit cell a=7.3626 b=7.3626 c=9.0939 alpha=90.00 beta=90.00 gamma=90.00
Space group I4/mmm (No. 139)
Unique sites:
Rb: 0.0000 0.5000 0.2500 [4 per cell]
Ni: 0.0000 0.0000 0.0000 [2 per cell]
Ge: 0.0000 0.0000 0.5000 [2 per cell]
Cl: 0.0000 0.0000 0.2387 [4 per cell]
Cl: 0.2443 0.2443 0.0000 [8 per cell]

Most intense lines, 15 to 90 degrees two-theta, in order of rising 2θ:
- 24.2°, intensity 52.0, hkl 2 0 0
- 26.0°, intensity 87.4, hkl 1 1 2
- 31.3°, intensity 58.1, hkl 2 0 2
- 34.5°, intensity 100.0, hkl 2 2 0
- 39.6°, intensity 32.7, hkl 0 0 4
- 43.7°, intensity 44.0, hkl 3 1 2
- 47.0°, intensity 17.5, hkl 2 0 4
- 49.5°, intensity 32.9, hkl 4 0 0
- 53.5°, intensity 51.0, hkl 2 2 4
- 59.7°, intensity 14.5, hkl 4 2 2
- 65.2°, intensity 27.2, hkl 4 0 4
- 82.9°, intensity 13.9, hkl 6 2 0

[5]
# La4TbTm3
Theoretical powder XRD pattern, CuKα. Input: the PBE geometry in Alexandria.
Peak positions follow from Bragg's law for the DFT cell and can differ from measured ones.

Cell and atoms:
Unit cell a=11.6353 b=7.3141 c=6.3624 alpha=90.00 beta=90.00 gamma=90.00
Space group Pmn2_1 (No. 31)
Unique sites:
La: 0.0000 0.1280 0.0000 [2 per cell]
La: 0.0000 0.8691 0.5193 [2 per cell]
La: 0.2433 0.1261 0.3389 [4 per cell]
Tb: 0.0000 0.6231 0.0126 [2 per cell]
Tm: 0.0000 0.3839 0.5092 [2 per cell]
Tm: 0.2496 0.3817 0.8392 [4 per cell]

Most intense lines, 15 to 90 degrees two-theta, in order of rising 2θ:
- 28.1°, intensity 23.6, hkl 0 2 1
- 30.7°, intensity 25.0, hkl 4 0 0
- 32.1°, intensity 100.0, hkl 2 0 2
- 42.1°, intensity 15.8, hkl 4 2 1
- 49.7°, intensity 13.0, hkl 0 2 3
- 49.9°, intensity 6.4, hkl 0 4 0
- 55.5°, intensity 7.2, hkl 6 0 2
- 55.6°, intensity 13.7, hkl 6 2 1
- 59.6°, intensity 15.0, hkl 4 2 3
- 59.7°, intensity 7.4, hkl 4 4 0
- 60.5°, intensity 11.1, hkl 2 4 2
- 89.8°, intensity 5.5, hkl 10 0 2

[6]
# ScGa3Co4
Theoretical powder XRD pattern, CuKα. Input: the PBE geometry in Alexandria.
Peak positions follow from Bragg's law for the DFT cell and can differ from measured ones.

Cell and atoms:
Unit cell a=4.1014 b=4.1014 c=6.0053 alpha=90.00 beta=90.00 gamma=90.00
Space group P4/mmm (No. 123)
Unique sites:
Sc: 0.0000 0.0000 0.0000 [1 per cell]
Ga: 0.0000 0.0000 0.5000 [1 per cell]
Ga: 0.5000 0.5000 0.0000 [1 per cell]
Ga: 0.5000 0.5000 0.5000 [1 per cell]
Co: 0.0000 0.5000 0.2658 [4 per cell]

Most intense lines, 15 to 90 degrees two-theta, in order of rising 2θ:
- 21.7°, intensity 0.9, hkl 1 0 0
- 26.3°, intensity 1.2, hkl 1 0 1
- 37.1°, intensity 0.5, hkl 1 0 2
- 43.4°, intensity 100.0, hkl 1 1 2
- 44.2°, intensity 48.3, hkl 2 0 0
- 46.8°, intensity 0.9, hkl 2 0 1
- 55.8°, intensity 1.9, hkl 1 1 3
- 61.8°, intensity 7.7, hkl 0 0 4
- 64.2°, intensity 14.7, hkl 2 2 0
- 79.0°, intensity 14.4, hkl 2 0 4
- 80.7°, intensity 28.9, hkl 3 1 2

[7]
# LiYAu
Theoretical powder XRD pattern, CuKα. Input: the PBE geometry in Alexandria.
Peak positions follow from Bragg's law for the DFT cell and can differ from measured ones.

Cell and atoms:
Unit cell a=4.1030 b=4.1030 c=15.8736 alpha=90.00 beta=90.00 gamma=90.00
Space group I4/mmm (No. 139)
Unique sites:
Li: 0.0000 0.5000 0.0000 [4 per cell]
Y: 0.0000 0.0000 0.1763 [4 per cell]
Au: 0.0000 0.0000 0.3707 [4 per cell]

Most intense lines, 15 to 90 degrees two-theta, in order of rising 2θ:
- 22.4°, intensity 100.0, hkl 0 0 4
- 30.8°, intensity 89.4, hkl 1 1 0
- 35.8°, intensity 52.2, hkl 1 0 5
- 38.4°, intensity 63.9, hkl 1 1 4
- 44.1°, intensity 36.0, hkl 2 0 0
- 45.7°, intensity 23.9, hkl 1 0 7
- 50.0°, intensity 38.5, hkl 2 0 4
- 56.8°, intensity 18.4, hkl 1 0 9
- 58.1°, intensity 25.8, hkl 2 1 5
- 65.4°, intensity 17.8, hkl 2 1 7
- 69.0°, intensity 27.6, hkl 1 0 11
- 85.6°, intensity 19.7, hkl 2 1 11

[8]
# PrZnH6Ru
Theoretical powder XRD pattern, CuKα. Input: the PBE geometry in Alexandria.
Peak positions follow from Bragg's law for the DFT cell and can differ from measured ones.

Cell and atoms:
Unit cell a=4.6226 b=4.6226 c=4.4896 alpha=90.00 beta=90.00 gamma=120.00
Space group P-6m2 (No. 187)
Unique sites:
Pr: 0.0000 0.0000 0.0000 [1 per cell]
Zn: 0.6667 0.3333 0.5000 [1 per cell]
H: 0.0255 0.5127 0.2325 [6 per cell]
Ru: 0.3333 0.6667 0.5000 [1 per cell]

Most intense lines, 15 to 90 degrees two-theta, in order of rising 2θ:
- 22.2°, intensity 6.6, hkl 1 0 0
- 29.9°, intensity 100.0, hkl 1 0 1
- 39.0°, intensity 45.3, hkl 1 1 0
- 40.2°, intensity 13.4, hkl 0 0 2
- 49.9°, intensity 24.0, hkl 2 0 1
- 57.2°, intensity 29.7, hkl 1 1 2
- 65.0°, intensity 21.2, hkl 2 1 1
- 66.7°, intensity 9.8, hkl 1 0 3
- 70.6°, intensity 7.6, hkl 3 0 0
- 80.1°, intensity 5.8, hkl 2 0 3
- 83.7°, intensity 4.9, hkl 2 2 0
- 84.5°, intensity 9.6, hkl 3 0 2

[9]
# Al4CrGe
Theoretical powder XRD pattern, CuKα. Input: the PBE geometry in Alexandria.
Peak positions follow from Bragg's law for the DFT cell and can differ from measured ones.

Cell and atoms:
Unit cell a=4.8687 b=5.0998 c=8.5703 alpha=90.00 beta=90.00 gamma=90.00
Space group P222 (No. 16)
Unique sites:
Al: 0.2233 0.1548 0.2226 [4 per cell]
Al: 0.2415 0.3666 0.6651 [4 per cell]
Cr: 0.0000 0.0000 0.5000 [1 per cell]
Cr: 0.5000 0.0000 0.0000 [1 per cell]
Ge: 0.5000 0.0000 0.5000 [1 per cell]
Ge: 0.5000 0.5000 0.0000 [1 per cell]

Most intense lines, 15 to 90 degrees two-theta, in order of rising 2θ:
- 17.4°, intensity 30.5, hkl 0 1 0
- 18.2°, intensity 44.0, hkl 1 0 0
- 20.3°, intensity 44.6, hkl 0 1 1
- 21.0°, intensity 48.9, hkl 1 0 1
- 27.7°, intensity 58.4, hkl 1 0 2
- 36.0°, intensity 63.8, hkl 0 1 3
- 41.2°, intensity 61.2, hkl 0 2 2
- 41.3°, intensity 63.7, hkl 1 2 1
- 42.5°, intensity 49.0, hkl 2 1 1
- 42.7°, intensity 100.0, hkl 2 0 2
- 51.9°, intensity 31.3, hkl 2 2 0
- 69.5°, intensity 26.1, hkl 2 1 5

[10]
# TmSc5As6
Theoretical powder XRD pattern, CuKα. Input: the PBE geometry in Alexandria.
Peak positions follow from Bragg's law for the DFT cell and can differ from measured ones.

Cell and atoms:
Unit cell a=6.7791 b=11.7393 c=6.7762 alpha=90.00 beta=109.50 gamma=90.00
Space group C2/m (No. 12)
Unique sites:
Tm: 0.0000 0.0000 0.0000 [2 per cell]
Sc: 0.0000 0.1649 0.5000 [4 per cell]
Sc: 0.0000 0.3328 0.0000 [4 per cell]
Sc: 0.0000 0.5000 0.5000 [2 per cell]
As: 0.2445 0.5000 0.2530 [4 per cell]
As: 0.2453 0.3302 0.7456 [8 per cell]

Most intense lines, 15 to 90 degrees two-theta, in order of rising 2θ:
- 15.1°, intensity 3.4, hkl 0 2 0
- 15.8°, intensity 6.3, hkl 1 1 0
- 17.7°, intensity 5.1, hkl 1 1 -1
- 20.5°, intensity 4.0, hkl 0 2 1
- 26.7°, intensity 3.5, hkl 1 3 0
- 31.9°, intensity 3.4, hkl 2 2 0
- 32.4°, intensity 100.0, hkl 1 3 1
- 46.4°, intensity 70.9, hkl 2 0 2
- 57.7°, intensity 24.1, hkl 0 0 4
- 67.7°, intensity 11.0, hkl 4 0 -4
- 77.1°, intensity 30.1, hkl 0 6 4
- 86.1°, intensity 22.8, hkl 2 0 -6

[11]
# Na2AlAgH6
Theoretical powder XRD pattern, CuKα. Input: the PBE geometry in Alexandria.
Peak positions follow from Bragg's law for the DFT cell and can differ from measured ones.

Cell and atoms:
Unit cell a=5.2902 b=5.3003 c=5.3017 alpha=90.07 beta=119.87 gamma=119.89
Space group P-1 (No. 2)
Unique sites:
Na: 0.0042 0.2495 0.2560 [2 per cell]
Al: 0.5000 0.0000 0.5000 [1 per cell]
Ag: 0.5000 0.5000 0.0000 [1 per cell]
H: 0.0321 0.8155 0.2979 [2 per cell]
H: 0.4271 0.7729 0.1928 [2 per cell]
H: 0.4737 0.7118 0.6803 [2 per cell]

Most intense lines, 15 to 90 degrees two-theta, in order of rising 2θ:
- 20.5°, intensity 56.6, hkl 1 -1 0
- 23.7°, intensity 38.4, hkl 1 0 0
- 33.8°, intensity 100.0, hkl 1 0 -2
- 33.9°, intensity 20.0, hkl -2 1 1
- 39.8°, intensity 21.8, hkl 0 1 -2
- 39.9°, intensity 10.5, hkl -2 2 1
- 48.6°, intensity 22.3, hkl 2 0 0
- 54.7°, intensity 7.2, hkl 1 -3 1
- 60.4°, intensity 21.0, hkl -1 3 1
- 60.6°, intensity 20.8, hkl 2 -3 1
- 71.1°, intensity 8.6, hkl 2 2 -2
- 81.1°, intensity 9.9, hkl 1 2 -4

[12]
# Tl2In3Hg7
Theoretical powder XRD pattern, CuKα. Input: the PBE geometry in Alexandria.
Peak positions follow from Bragg's law for the DFT cell and can differ from measured ones.

Cell and atoms:
Unit cell a=9.1039 b=3.2128 c=11.9071 alpha=90.00 beta=105.25 gamma=90.00
Space group P2/m (No. 10)
Unique sites:
Tl: 0.1859 0.0000 0.0035 [2 per cell]
In: 0.1734 0.5000 0.5043 [2 per cell]
In: 0.5000 0.0000 0.5000 [1 per cell]
Hg: 0.0429 0.0000 0.2578 [2 per cell]
Hg: 0.3067 0.0000 0.7529 [2 per cell]
Hg: 0.3700 0.5000 0.2532 [2 per cell]
Hg: 0.5000 0.5000 0.0000 [1 per cell]

Most intense lines, 15 to 90 degrees two-theta, in order of rising 2θ:
- 29.6°, intensity 21.0, hkl 1 1 0
- 30.4°, intensity 83.6, hkl 3 0 -2
- 31.1°, intensity 100.0, hkl 0 0 4
- 31.3°, intensity 52.3, hkl 1 1 1
- 36.2°, intensity 47.0, hkl 1 1 -3
- 36.7°, intensity 75.3, hkl 2 1 1
- 38.0°, intensity 42.6, hkl 3 0 2
- 38.8°, intensity 54.0, hkl 2 1 -3
- 49.6°, intensity 23.2, hkl 3 0 -6
- 57.6°, intensity 27.4, hkl 2 1 5
- 66.3°, intensity 22.4, hkl 3 2 -2
- 66.7°, intensity 24.4, hkl 0 2 4

[13]
# AcLa2Tb4Ho
Theoretical powder XRD pattern, CuKα. Input: the PBE geometry in Alexandria.
Peak positions follow from Bragg's law for the DFT cell and can differ from measured ones.

Cell and atoms:
Unit cell a=5.9834 b=5.9834 c=7.7673 alpha=90.00 beta=90.00 gamma=90.00
Space group P4/mmm (No. 123)
Unique sites:
Ac: 0.0000 0.0000 0.0000 [1 per cell]
La: 0.0000 0.0000 0.5000 [1 per cell]
La: 0.5000 0.5000 0.0000 [1 per cell]
Tb: 0.0000 0.5000 0.2624 [4 per cell]
Ho: 0.5000 0.5000 0.5000 [1 per cell]

Most intense lines, 15 to 90 degrees two-theta, in order of rising 2θ:
- 29.9°, intensity 57.0, hkl 2 0 0
- 31.3°, intensity 100.0, hkl 1 1 2
- 42.7°, intensity 21.6, hkl 2 2 0
- 46.8°, intensity 8.0, hkl 0 0 4
- 53.9°, intensity 43.5, hkl 3 1 2
- 56.5°, intensity 18.2, hkl 2 0 4
- 62.0°, intensity 7.2, hkl 4 0 0
- 65.2°, intensity 11.8, hkl 2 2 4
- 70.4°, intensity 9.9, hkl 4 2 0
- 71.1°, intensity 9.5, hkl 3 3 2
- 86.7°, intensity 11.6, hkl 5 1 2
- 88.8°, intensity 10.7, hkl 4 2 4